[1]
This entry pairs a crystal structure of TbDy6Er6 with its calculated powder XRD pattern. Radiation: copper Kα. Structure: a crystal structure in Alexandria, relaxed with PBE.

Most intense lines, 2θ from 10° to 80°, low angle first:
29.4 deg, I = 78
30.4 deg, I = 92
32.1 deg, I = 28
32.5 deg, I = 40
32.8 deg, I = 28
34.6 deg, I = 100
35.7 deg, I = 31
39.4 deg, I = 21
42.7 deg, I = 22
52.6 deg, I = 22
60.2 deg, I = 24
61.4 deg, I = 21

Atomic structure:
```
TbDy6Er6
1.0
3.4817 -5.5065 0.0000
3.4817 5.5065 0.0000
0.0000 0.0000 10.9341
Tb Dy Er
1 6 6
direct
0.0000 0.0000 0.0000 Tb
0.0000 0.0000 0.3326 Dy
0.0000 0.0000 0.6674 Dy
0.2619 0.7381 0.5000 Dy
0.3561 0.6439 0.0000 Dy
0.6439 0.3561 0.0000 Dy
0.7381 0.2619 0.5000 Dy
0.0000 0.5000 0.2250 Er
0.0000 0.5000 0.7750 Er
0.5000 0.0000 0.2250 Er
0.5000 0.0000 0.7750 Er
0.5000 0.5000 0.3027 Er
0.5000 0.5000 0.6973 Er
```

[2]
This entry pairs a crystal structure of Tb12Dy2Er with its calculated powder XRD pattern. Radiation: copper Kα. Structure: a crystal structure in Alexandria, relaxed with PBE.

Most intense lines, 2θ from 10° to 80°, low angle first:
30.2 deg, I = 15
30.7 deg, I = 12
31.1 deg, I = 30
31.4 deg, I = 46
32.3 deg, I = 100
34.1 deg, I = 21
34.6 deg, I = 19
48.1 deg, I = 12
50.6 deg, I = 12
56.5 deg, I = 21
58.6 deg, I = 13
60.8 deg, I = 14

Atomic structure:
```
Tb12Dy2Er
1.0
3.6095 0.0000 0.0000
0.0000 5.6959 0.0000
-1.7916 0.0000 23.3149
Tb Dy Er
12 2 1
direct
0.0301 0.0000 0.0659 Tb
0.0709 0.5000 0.1459 Tb
0.1593 0.0000 0.3213 Tb
0.2131 0.5000 0.4255 Tb
0.2796 0.0000 0.5579 Tb
0.4076 0.0000 0.8073 Tb
0.5924 0.0000 0.1927 Tb
0.7204 0.0000 0.4421 Tb
0.7869 0.5000 0.5745 Tb
0.8407 0.0000 0.6787 Tb
0.9291 0.5000 0.8541 Tb
0.9699 0.0000 0.9341 Tb
0.3581 0.5000 0.7152 Dy
0.6419 0.5000 0.2848 Dy
0.5000 0.5000 0.0000 Er
```